Structure and theoretical powder XRD pattern of Dy5Te4Rh (a cell relaxed with GGA-PBE; Cu Ka).
Intensities are scaled so that the largest is 100.

Crystal structure
```
data_Dy5Te4Rh
_chemical_formula_sum 'Dy5 Te4 Rh1'
_cell_length_a 15.857
_cell_length_b 15.857
_cell_length_c 15.857
_cell_angle_alpha 164.59
_cell_angle_beta 164.59
_cell_angle_gamma 21.86
_symmetry_space_group_name_H-M 'P 1'
_symmetry_Int_Tables_number 1
loop_
_symmetry_equiv_pos_as_xyz
'x,y,z'
loop_
_atom_site_label
_atom_site_type_symbol
_atom_site_fract_x
_atom_site_fract_y
_atom_site_fract_z
_atom_site_occupancy
Dy1 Dy 0.000 0.000 0.000 1
Dy2 Dy 0.210 0.210 0.000 1
Dy3 Dy 0.417 0.417 0.000 1
Dy4 Dy 0.583 0.583 0.000 1
Dy5 Dy 0.790 0.790 0.000 1
Te1 Te 0.105 0.105 0.000 1
Te2 Te 0.310 0.310 0.000 1
Te3 Te 0.690 0.690 0.000 1
Te4 Te 0.895 0.895 0.000 1
Rh1 Rh 0.500 0.500 0.000 1
```

Principal peaks in the range 2θ from 5° to 70°, by angle:
2θ/deg  I/Imax
28.67  34.9
29.71  100.0
33.39  26.7
41.76  50.4
42.52  37.7
52.09  26.4
55.11  12.9
60.55  15.9
61.70  12.5
69.97  17.1